(1)
Structure and simulated XRD peak list of Np2Te2N (a cell relaxed with GGA-PBE; copper Kα).

Main lines, in order of rising 2θ (10° ≤ 2θ ≤ 90°):
hkl  2theta  I_rel
1 2 1  24.7  458
2 0 0  25.3  406
0 4 0  29.7  535
0 0 2  30.4  869
2 1 1  30.5  1000
1 4 1  35.9  725
2 3 1  37.3  737
2 0 2  39.9  287
0 4 2  43.0  438
1 8 1  65.5  295

Atomic structure:
```
data_Np2Te2N
_chemical_formula_sum 'Np8 Te8 N4'
_space_group_name_H-M_alt 'I b a m'
_space_group_IT_number 72
_space_group_name_Hall '-I 2 2c'
_cell_length_a 7.0384
_cell_length_b 12.0125
_cell_length_c 5.8861
_cell_angle_alpha 90.00
_cell_angle_beta 90.00
_cell_angle_gamma 90.00
loop_
_atom_site_label
_atom_site_type_symbol
_atom_site_fract_x
_atom_site_fract_y
_atom_site_fract_z
_atom_site_occupancy
Np1 Np 0.1848 0.0943 0.0000 1
Te1 Te 0.1506 0.3541 0.0000 1
N1 N 0.0000 0.0000 0.2500 1
```

(2)
Structure and simulated XRD peak list of Th4NpN5 (a cell relaxed with GGA-PBE; copper Kα).

Main lines, in order of rising 2θ (10° ≤ 2θ ≤ 90°):
hkl  2theta  I_rel
1 2 1  30.2  1000
3 1 0  35.0  656
3 1 2  50.3  472
5 0 1  59.8  471
2 4 2  62.8  162
0 0 4  74.0  76
5 0 3  81.9  201
3 1 4  84.5  218

Atomic structure:
```
data_Th4NpN5
_chemical_formula_sum 'Th8 Np2 N10'
_space_group_name_H-M_alt 'I 4/m'
_space_group_IT_number 87
_space_group_name_Hall '-I 4'
_cell_length_a 8.1034
_cell_length_b 8.1034
_cell_length_c 5.1299
_cell_angle_alpha 90.00
_cell_angle_beta 90.00
_cell_angle_gamma 90.00
loop_
_atom_site_label
_atom_site_type_symbol
_atom_site_fract_x
_atom_site_fract_y
_atom_site_fract_z
_atom_site_occupancy
Th1 Th 0.0993 0.7011 0.0000 1
Np1 Np 0.0000 0.0000 0.5000 1
N1 N 0.0000 0.0000 0.0000 1
N2 N 0.0988 0.7091 0.5000 1
```